Record 1
Simulated PXRD pattern
Compound: Cs2SI
Radiation: λ = 1.5418 Å (Cu Kα)
Structure: a crystal structure in Alexandria, relaxed with GGA-PBE
Lines closer than 0.1° are merged.

Most intense lines, 2θ from 10° to 90°, in order of rising 2θ:
two_theta, I_rel
19.0, 11
23.6, 100
26.0, 13
32.6, 45
34.7, 32
40.6, 23
48.3, 12
53.0, 21
55.9, 13
59.5, 13

Crystal structure
```
data_Cs2SI
_cell_length_a 8.7938
_cell_length_b 8.7938
_cell_length_c 8.7938
_cell_angle_alpha 36.44
_cell_angle_beta 36.44
_cell_angle_gamma 36.44
_symmetry_space_group_name_H-M 'P 1'
_symmetry_Int_Tables_number 1
loop_
_symmetry_equiv_pos_as_xyz
'x,y,z'
loop_
_atom_site_label
_atom_site_type_symbol
_atom_site_fract_x
_atom_site_fract_y
_atom_site_fract_z
Cs1 Cs 0.2401 0.2401 0.2401
Cs2 Cs 0.7599 0.7599 0.7599
S1 S 0.5000 0.5000 0.5000
I1 I 0.0000 0.0000 0.0000
```

Record 2
Simulated PXRD pattern
Compound: Cs2SI7
Radiation: λ = 1.5418 Å (Cu Kα)
Structure: a crystal structure in Alexandria, relaxed with GGA-PBE
Lines closer than 0.1° are merged.

Most intense lines, 2θ from 10° to 90°, in order of rising 2θ:
two_theta, I_rel
25.2, 100
27.9, 33
29.9, 64
31.6, 12
41.3, 45
42.7, 24
47.8, 12
50.3, 29
51.8, 23
77.3, 13

Crystal structure
```
data_Cs2SI7
_cell_length_a 8.7608
_cell_length_b 8.7608
_cell_length_c 8.7608
_cell_angle_alpha 122.22
_cell_angle_beta 122.22
_cell_angle_gamma 86.19
_symmetry_space_group_name_H-M 'P 1'
_symmetry_Int_Tables_number 1
loop_
_symmetry_equiv_pos_as_xyz
'x,y,z'
loop_
_atom_site_label
_atom_site_type_symbol
_atom_site_fract_x
_atom_site_fract_y
_atom_site_fract_z
Cs1 Cs 0.2500 0.7500 0.5000
Cs2 Cs 0.7500 0.2500 0.5000
S1 S 0.0000 0.0000 0.0000
I1 I 0.2157 0.2157 0.0000
I2 I 0.2396 0.2396 0.4793
I3 I 0.2396 0.7604 0.0000
I4 I 0.5000 0.5000 0.0000
I5 I 0.7604 0.2396 0.0000
I6 I 0.7604 0.7604 0.5207
I7 I 0.7843 0.7843 0.0000
```

Record 3
Simulated PXRD pattern
Compound: CsS6I2
Radiation: λ = 1.5418 Å (Cu Kα)
Structure: a crystal structure in Alexandria, relaxed with GGA-PBE
Lines closer than 0.1° are merged.

Most intense lines, 2θ from 10° to 90°, in order of rising 2θ:
two_theta, I_rel
14.0, 42
22.9, 59
23.2, 73
24.5, 100
24.8, 90
25.3, 82
28.1, 38
32.7, 34
36.0, 35
39.6, 33

Crystal structure
```
data_CsS6I2
_cell_length_a 10.1447
_cell_length_b 10.1447
_cell_length_c 7.1337
_cell_angle_alpha 101.55
_cell_angle_beta 101.55
_cell_angle_gamma 27.82
_symmetry_space_group_name_H-M 'P 1'
_symmetry_Int_Tables_number 1
loop_
_symmetry_equiv_pos_as_xyz
'x,y,z'
loop_
_atom_site_label
_atom_site_type_symbol
_atom_site_fract_x
_atom_site_fract_y
_atom_site_fract_z
Cs1 Cs 0.0000 0.0000 0.0000
S1 S 0.1636 0.1636 0.3031
S2 S 0.2388 0.6299 0.4161
S3 S 0.3701 0.7612 0.5839
S4 S 0.6299 0.2388 0.4161
S5 S 0.7612 0.3701 0.5839
S6 S 0.8364 0.8364 0.6969
I1 I 0.3066 0.3066 0.7862
I2 I 0.6934 0.6934 0.2138
```

Record 4
Simulated PXRD pattern
Compound: Cs2SbI4
Radiation: λ = 1.5418 Å (Cu Kα)
Structure: a crystal structure in Alexandria, relaxed with GGA-PBE
Lines closer than 0.1° are merged.

Most intense lines, 2θ from 10° to 90°, in order of rising 2θ:
two_theta, I_rel
13.2, 27
17.5, 23
22.5, 55
26.7, 100
28.4, 80
36.5, 30
40.6, 30
46.0, 42
49.2, 35
54.9, 24

Crystal structure
```
data_Cs2SbI4
_cell_length_a 8.0778
_cell_length_b 8.0778
_cell_length_c 8.0778
_cell_angle_alpha 113.24
_cell_angle_beta 113.24
_cell_angle_gamma 102.17
_symmetry_space_group_name_H-M 'P 1'
_symmetry_Int_Tables_number 1
loop_
_symmetry_equiv_pos_as_xyz
'x,y,z'
loop_
_atom_site_label
_atom_site_type_symbol
_atom_site_fract_x
_atom_site_fract_y
_atom_site_fract_z
Cs1 Cs 0.2500 0.7500 0.5000
Cs2 Cs 0.7500 0.2500 0.5000
Sb1 Sb 0.0000 0.0000 0.0000
I1 I 0.2415 0.2415 0.4842
I2 I 0.2427 0.7585 0.0000
I3 I 0.7573 0.7573 0.5158
I4 I 0.7585 0.2427 0.0000
```

Record 5
Simulated PXRD pattern
Compound: CsZnSbI6
Radiation: λ = 1.5418 Å (Cu Kα)
Structure: a crystal structure in Alexandria, relaxed with GGA-PBE
Lines closer than 0.1° are merged.

Most intense lines, 2θ from 10° to 90°, in order of rising 2θ:
two_theta, I_rel
10.1, 43
16.7, 54
25.3, 100
30.9, 91
37.2, 23
38.7, 22
40.7, 38
47.7, 31
52.0, 21
68.0, 20

Crystal structure
```
data_CsZnSbI6
_cell_length_a 7.6822
_cell_length_b 7.6822
_cell_length_c 8.7895
_cell_angle_alpha 90.00
_cell_angle_beta 90.00
_cell_angle_gamma 120.00
_symmetry_space_group_name_H-M 'P 1'
_symmetry_Int_Tables_number 1
loop_
_symmetry_equiv_pos_as_xyz
'x,y,z'
loop_
_atom_site_label
_atom_site_type_symbol
_atom_site_fract_x
_atom_site_fract_y
_atom_site_fract_z
Cs1 Cs 0.0000 0.0000 0.0000
Zn1 Zn 0.6667 0.3333 0.5000
Sb1 Sb 0.3333 0.6667 0.5000
I1 I 0.3773 0.0173 0.6932
I2 I 0.3773 0.3600 0.3068
I3 I 0.6400 0.0173 0.3068
I4 I 0.6400 0.6227 0.6932
I5 I 0.9827 0.3600 0.6932
I6 I 0.9827 0.6227 0.3068
```

Record 6
Simulated PXRD pattern
Compound: Cs2ScI6
Radiation: λ = 1.5418 Å (Cu Kα)
Structure: a crystal structure in Alexandria, relaxed with GGA-PBE
Lines closer than 0.1° are merged.

Most intense lines, 2θ from 10° to 90°, in order of rising 2θ:
two_theta, I_rel
25.6, 70
27.9, 100
31.5, 27
41.0, 13
43.6, 28
46.6, 24
51.3, 35
52.6, 27
65.7, 11
70.6, 29

Crystal structure
```
data_Cs2ScI6
_cell_length_a 8.2981
_cell_length_b 8.2981
_cell_length_c 13.9395
_cell_angle_alpha 90.00
_cell_angle_beta 90.00
_cell_angle_gamma 120.00
_symmetry_space_group_name_H-M 'P 1'
_symmetry_Int_Tables_number 1
loop_
_symmetry_equiv_pos_as_xyz
'x,y,z'
loop_
_atom_site_label
_atom_site_type_symbol
_atom_site_fract_x
_atom_site_fract_y
_atom_site_fract_z
Cs1 Cs 0.0000 0.0000 0.0000
Cs2 Cs 0.0000 0.0000 0.5000
Cs3 Cs 0.3333 0.6667 0.2499
Cs4 Cs 0.6667 0.3333 0.7499
Sc1 Sc 0.3333 0.6667 0.6236
Sc2 Sc 0.6667 0.3333 0.1236
I1 I 0.0079 0.5039 0.5021
I2 I 0.1685 0.3369 0.7426
I3 I 0.1685 0.8315 0.7426
I4 I 0.3369 0.1685 0.2426
I5 I 0.4961 0.5039 0.5021
I6 I 0.4961 0.9921 0.5021
I7 I 0.5039 0.0079 0.0021
I8 I 0.5039 0.4961 0.0021
I9 I 0.6631 0.8315 0.7426
I10 I 0.8315 0.1685 0.2426
I11 I 0.8315 0.6631 0.2426
I12 I 0.9921 0.4961 0.0021
```

Record 7
Simulated PXRD pattern
Compound: CsYScI6
Radiation: λ = 1.5418 Å (Cu Kα)
Structure: a crystal structure in Alexandria, relaxed with GGA-PBE
Lines closer than 0.1° are merged.

Most intense lines, 2θ from 10° to 90°, in order of rising 2θ:
two_theta, I_rel
16.8, 48
24.7, 49
25.4, 32
25.5, 24
25.8, 79
29.5, 22
30.5, 100
31.1, 41
40.9, 43
41.7, 27

Crystal structure
```
data_CsYScI6
_cell_length_a 7.5495
_cell_length_b 7.5495
_cell_length_c 9.0788
_cell_angle_alpha 91.23
_cell_angle_beta 91.23
_cell_angle_gamma 118.60
_symmetry_space_group_name_H-M 'P 1'
_symmetry_Int_Tables_number 1
loop_
_symmetry_equiv_pos_as_xyz
'x,y,z'
loop_
_atom_site_label
_atom_site_type_symbol
_atom_site_fract_x
_atom_site_fract_y
_atom_site_fract_z
Cs1 Cs 0.0000 0.0000 0.0000
Y1 Y 0.3490 0.6510 0.5000
Sc1 Sc 0.6521 0.3479 0.5000
I1 I 0.0010 0.6494 0.6820
I2 I 0.3506 0.9990 0.3180
I3 I 0.3816 0.3711 0.7174
I4 I 0.6289 0.6184 0.2826
I5 I 0.6556 0.0167 0.6847
I6 I 0.9833 0.3444 0.3153
```

Record 8
Simulated PXRD pattern
Compound: Cs12Se3I5
Radiation: λ = 1.5418 Å (Cu Kα)
Structure: a crystal structure in Alexandria, relaxed with GGA-PBE
Lines closer than 0.1° are merged.

Most intense lines, 2θ from 10° to 90°, in order of rising 2θ:
two_theta, I_rel
23.1, 48
23.4, 100
25.2, 13
25.7, 22
27.5, 49
32.5, 37
33.6, 13
33.8, 22
38.0, 13
40.3, 22

Crystal structure
```
data_Cs12Se3I5
_cell_length_a 16.0186
_cell_length_b 16.0186
_cell_length_c 5.5054
_cell_angle_alpha 90.00
_cell_angle_beta 90.00
_cell_angle_gamma 120.00
_symmetry_space_group_name_H-M 'P 1'
_symmetry_Int_Tables_number 1
loop_
_symmetry_equiv_pos_as_xyz
'x,y,z'
loop_
_atom_site_label
_atom_site_type_symbol
_atom_site_fract_x
_atom_site_fract_y
_atom_site_fract_z
Cs1 Cs 0.0000 0.1863 0.0000
Cs2 Cs 0.0000 0.4649 0.0000
Cs3 Cs 0.1863 0.0000 0.0000
Cs4 Cs 0.1981 0.7521 0.5000
Cs5 Cs 0.2479 0.4460 0.5000
Cs6 Cs 0.4460 0.2479 0.5000
Cs7 Cs 0.4649 0.0000 0.0000
Cs8 Cs 0.5351 0.5351 0.0000
Cs9 Cs 0.5540 0.8019 0.5000
Cs10 Cs 0.7521 0.1981 0.5000
Cs11 Cs 0.8019 0.5540 0.5000
Cs12 Cs 0.8137 0.8137 0.0000
Se1 Se 0.0000 0.3335 0.5000
Se2 Se 0.3335 0.0000 0.5000
Se3 Se 0.6665 0.6665 0.5000
I1 I 0.0000 0.7069 0.0000
I2 I 0.2931 0.2931 0.0000
I3 I 0.3333 0.6667 0.0000
I4 I 0.6667 0.3333 0.0000
I5 I 0.7069 0.0000 0.0000
```

Record 9
Simulated PXRD pattern
Compound: Cs3SiI6
Radiation: λ = 1.5418 Å (Cu Kα)
Structure: a crystal structure in Alexandria, relaxed with GGA-PBE
Lines closer than 0.1° are merged.

Most intense lines, 2θ from 10° to 90°, in order of rising 2θ:
two_theta, I_rel
19.6, 17
24.0, 100
27.8, 99
30.4, 28
36.4, 21
39.7, 65
47.0, 33
49.2, 20
55.0, 20
65.0, 21

Crystal structure
```
data_Cs3SiI6
_cell_length_a 9.0718
_cell_length_b 9.0718
_cell_length_c 9.0718
_cell_angle_alpha 60.00
_cell_angle_beta 60.00
_cell_angle_gamma 60.00
_symmetry_space_group_name_H-M 'P 1'
_symmetry_Int_Tables_number 1
loop_
_symmetry_equiv_pos_as_xyz
'x,y,z'
loop_
_atom_site_label
_atom_site_type_symbol
_atom_site_fract_x
_atom_site_fract_y
_atom_site_fract_z
Cs1 Cs 0.0000 0.0000 0.0000
Cs2 Cs 0.2500 0.2500 0.2500
Cs3 Cs 0.7500 0.7500 0.7500
Si1 Si 0.5000 0.5000 0.5000
I1 I 0.2812 0.2812 0.7188
I2 I 0.2812 0.7188 0.2812
I3 I 0.2812 0.7188 0.7188
I4 I 0.7188 0.2812 0.2812
I5 I 0.7188 0.2812 0.7188
I6 I 0.7188 0.7188 0.2812
```

Record 10
Simulated PXRD pattern
Compound: Cs3SmI6
Radiation: λ = 1.5418 Å (Cu Kα)
Structure: a crystal structure in Alexandria, relaxed with GGA-PBE
Lines closer than 0.1° are merged.

Most intense lines, 2θ from 10° to 90°, in order of rising 2θ:
two_theta, I_rel
19.0, 52
19.5, 48
22.6, 75
22.9, 86
25.0, 51
26.9, 89
27.7, 90
30.1, 100
33.7, 76
34.7, 48

Crystal structure
```
data_Cs3SmI6
_cell_length_a 9.0650
_cell_length_b 9.6892
_cell_length_c 15.5180
_cell_angle_alpha 90.00
_cell_angle_beta 123.93
_cell_angle_gamma 90.00
_symmetry_space_group_name_H-M 'P 1'
_symmetry_Int_Tables_number 1
loop_
_symmetry_equiv_pos_as_xyz
'x,y,z'
loop_
_atom_site_label
_atom_site_type_symbol
_atom_site_fract_x
_atom_site_fract_y
_atom_site_fract_z
Cs1 Cs 0.0000 0.0000 0.0000
Cs2 Cs 0.0000 0.5000 0.5000
Cs3 Cs 0.2103 0.0781 0.7425
Cs4 Cs 0.2103 0.4219 0.2425
Cs5 Cs 0.7897 0.5781 0.7575
Cs6 Cs 0.7897 0.9219 0.2575
Sm1 Sm 0.5000 0.0000 0.5000
Sm2 Sm 0.5000 0.5000 0.0000
I1 I 0.1726 0.1737 0.4488
I2 I 0.1726 0.3263 0.9488
I3 I 0.2665 0.7336 0.4266
I4 I 0.2665 0.7664 0.9266
I5 I 0.4040 0.0513 0.2771
I6 I 0.4040 0.4487 0.7771
I7 I 0.5960 0.5513 0.2229
I8 I 0.5960 0.9487 0.7229
I9 I 0.7335 0.2336 0.0734
I10 I 0.7335 0.2664 0.5734
I11 I 0.8274 0.6737 0.0512
I12 I 0.8274 0.8263 0.5512
```

Record 11
Simulated PXRD pattern
Compound: Cs2Sn3I10
Radiation: λ = 1.5418 Å (Cu Kα)
Structure: a crystal structure in Alexandria, relaxed with GGA-PBE
Lines closer than 0.1° are merged.

Most intense lines, 2θ from 10° to 90°, in order of rising 2θ:
two_theta, I_rel
24.4, 44
25.9, 100
26.4, 47
27.3, 91
27.5, 37
32.3, 54
32.4, 28
41.2, 33
41.9, 56
43.0, 39

Crystal structure
```
data_Cs2Sn3I10
_cell_length_a 15.3531
_cell_length_b 15.3531
_cell_length_c 12.0602
_cell_angle_alpha 112.37
_cell_angle_beta 112.37
_cell_angle_gamma 33.17
_symmetry_space_group_name_H-M 'P 1'
_symmetry_Int_Tables_number 1
loop_
_symmetry_equiv_pos_as_xyz
'x,y,z'
loop_
_atom_site_label
_atom_site_type_symbol
_atom_site_fract_x
_atom_site_fract_y
_atom_site_fract_z
Cs1 Cs 0.1281 0.1281 0.2640
Cs2 Cs 0.2447 0.2447 0.7872
Cs3 Cs 0.7553 0.7553 0.2128
Cs4 Cs 0.8719 0.8719 0.7360
Sn1 Sn 0.2469 0.7531 0.5000
Sn2 Sn 0.3217 0.3217 0.4611
Sn3 Sn 0.4250 0.4250 0.0122
Sn4 Sn 0.5750 0.5750 0.9878
Sn5 Sn 0.6783 0.6783 0.5389
Sn6 Sn 0.7531 0.2469 0.5000
I1 I 0.0000 0.5000 0.5000
I2 I 0.0144 0.0144 0.6882
I3 I 0.1141 0.6095 0.0180
I4 I 0.1209 0.6472 0.4367
I5 I 0.2563 0.7437 0.0000
I6 I 0.2596 0.2596 0.2035
I7 I 0.3528 0.8791 0.5633
I8 I 0.3795 0.3795 0.7456
I9 I 0.3905 0.8859 0.9820
I10 I 0.4795 0.4795 0.2795
I11 I 0.5000 0.0000 0.5000
I12 I 0.5205 0.5205 0.7205
I13 I 0.6095 0.1141 0.0180
I14 I 0.6205 0.6205 0.2544
I15 I 0.6472 0.1209 0.4367
I16 I 0.7404 0.7404 0.7965
I17 I 0.7437 0.2563 0.0000
I18 I 0.8791 0.3528 0.5633
I19 I 0.8859 0.3905 0.9820
I20 I 0.9856 0.9856 0.3118
```

Record 12
Simulated PXRD pattern
Compound: Cs2Sn2I5
Radiation: λ = 1.5418 Å (Cu Kα)
Structure: a crystal structure in Alexandria, relaxed with GGA-PBE
Lines closer than 0.1° are merged.

Most intense lines, 2θ from 10° to 90°, in order of rising 2θ:
two_theta, I_rel
22.5, 21
26.6, 100
28.1, 94
30.1, 16
39.1, 23
40.1, 36
46.0, 21
48.8, 43
65.7, 19
73.6, 14

Crystal structure
```
data_Cs2Sn2I5
_cell_length_a 10.0613
_cell_length_b 6.3543
_cell_length_c 6.3543
_cell_angle_alpha 90.01
_cell_angle_beta 90.00
_cell_angle_gamma 90.00
_symmetry_space_group_name_H-M 'P 1'
_symmetry_Int_Tables_number 1
loop_
_symmetry_equiv_pos_as_xyz
'x,y,z'
loop_
_atom_site_label
_atom_site_type_symbol
_atom_site_fract_x
_atom_site_fract_y
_atom_site_fract_z
Cs1 Cs 0.0000 0.0000 0.0000
Cs2 Cs 0.5000 0.0012 0.0012
Sn1 Sn 0.3196 0.5003 0.5003
Sn2 Sn 0.6804 0.5003 0.5003
I1 I 0.0000 0.5032 0.5032
I2 I 0.2774 0.0028 0.5016
I3 I 0.2774 0.5016 0.0028
I4 I 0.7226 0.0028 0.5016
I5 I 0.7226 0.5016 0.0028
```